Record 1
Starting from a DFT-relaxed cell (PBE, Alexandria), the X-ray diffraction stick pattern of BePH6CBr3 was computed for Cu Kα (λ = 1.5418 Å).
Lines closer than 0.1° are merged.

Peak list (12 most intense, 2θ from 15° to 90°, low angle first)
h k l	2θ/deg	I_rel
1 0 -1	15.56	13.4
1 -1 2	20.62	11.9
0 2 2	24.20	26.5
1 1 3	24.34	25.3
1 0 4	25.54	54.4
1 -2 2	27.54	100.0
2 0 0	29.58	19.4
-1 1 5	32.41	42.3
2 1 2	33.43	15.2
0 3 3	36.66	16.1
0 2 -6	37.23	15.2
0 1 -7	37.83	17.6

Cell and atoms:
a b c (Å): 6.039 8.372 17.118
angles (deg): 93.09 90.10 90.06
Space group P1 (No. 1)
Unique sites:
Be: 0.000 0.000 0.000
Be: 0.053 0.392 0.635
Be: 0.488 0.890 0.135
Be: 0.541 0.504 0.501
P: 0.197 0.402 0.166
P: 0.344 0.905 0.667
P: 0.735 0.362 0.856
P: 0.809 0.863 0.357
H: 0.029 0.486 0.287
H: 0.033 0.284 0.152
H: 0.042 0.948 0.464
H: 0.141 0.840 0.641
H: 0.147 0.531 0.120
H: 0.245 0.081 0.775
H: 0.258 0.878 0.801
H: 0.276 0.372 0.301
H: 0.299 0.576 0.275
H: 0.394 0.035 0.620
H: 0.400 0.337 0.141
H: 0.503 0.439 0.964
H: 0.508 0.788 0.653
H: 0.510 0.987 0.789
H: 0.567 0.384 0.800
H: 0.608 0.912 0.323
H: 0.665 0.605 0.932
H: 0.750 0.197 0.868
H: 0.754 0.959 0.489
H: 0.792 0.455 0.989
H: 0.796 0.698 0.370
H: 0.874 0.109 0.431
H: 0.936 0.414 0.823
H: 0.976 0.885 0.300
C: 0.200 0.466 0.268
C: 0.339 0.970 0.768
C: 0.666 0.477 0.944
C: 0.877 0.982 0.444
Br: 0.165 0.224 0.979
Br: 0.220 0.521 0.732
Br: 0.244 0.817 0.040
Br: 0.296 0.321 0.540
Br: 0.323 0.019 0.231
Br: 0.377 0.728 0.479
Br: 0.653 0.674 0.168
Br: 0.699 0.400 0.398
Br: 0.740 0.067 0.092
Br: 0.801 0.571 0.593
Br: 0.841 0.896 0.897
Br: 0.888 0.177 0.668

Record 2
Starting from a DFT-relaxed cell (PBE, Alexandria), the X-ray diffraction stick pattern of ThZr4Pt2 was computed for Cu Kα (λ = 1.5418 Å).
Lines closer than 0.1° are merged.

Peak list (12 most intense, 2θ from 15° to 90°, low angle first)
h k l	2θ/deg	I_rel
1 1 1	28.14	69.3
0 4 1	30.23	32.8
1 3 1	32.64	100.0
1 5 0	34.97	39.9
2 0 0	39.33	87.6
0 6 1	40.11	32.1
1 5 1	40.29	31.0
1 7 0	45.54	18.0
1 5 2	53.65	24.1
2 0 2	56.84	30.0
2 6 1	57.42	22.9
3 3 1	67.10	24.4

Cell and atoms:
a b c (Å): 4.583 15.482 4.580
angles (deg): 90.00 90.00 90.00
Space group Cmmm (No. 65)
Unique sites:
Th: 0.000 0.000 0.000
Zr: 0.000 0.182 0.500
Zr: 0.000 0.318 0.000
Pt: 0.000 0.416 0.500

Record 3
Starting from a DFT-relaxed cell (PBE, Alexandria), the X-ray diffraction stick pattern of Tl2SiO4 was computed for Cu Kα (λ = 1.5418 Å).
Lines closer than 0.1° are merged.

Peak list (12 most intense, 2θ from 15° to 90°, low angle first)
h k l	2θ/deg	I_rel
0 0 4	23.88	36.6
1 0 1	25.70	42.5
1 0 3	30.88	100.0
1 1 0	35.63	46.4
0 0 6	36.16	12.9
1 1 4	43.35	44.5
1 0 7	49.89	24.4
2 0 0	51.28	21.4
1 1 6	51.67	12.4
2 0 4	57.32	14.1
2 1 3	61.07	30.4
2 1 7	74.35	15.5

Cell and atoms:
a b c (Å): 3.563 3.563 14.904
angles (deg): 90.00 90.00 90.00
Space group I4/mmm (No. 139)
Unique sites:
Tl: 0.000 0.000 0.144
Si: 0.000 0.000 0.500
O: 0.000 0.000 0.375
O: 0.000 0.500 0.000

Record 4
Starting from a DFT-relaxed cell (PBE, Alexandria), the X-ray diffraction stick pattern of La3GeAu was computed for Cu Kα (λ = 1.5418 Å).
Lines closer than 0.1° are merged.

Peak list (12 most intense, 2θ from 15° to 90°, low angle first)
h k l	2θ/deg	I_rel
0 2 0	29.40	44.8
1 0 -2	29.87	100.0
2 0 1	30.35	82.2
1 2 0	30.44	65.2
1 -1 2	31.08	50.9
1 0 3	34.19	59.4
0 2 2	35.52	69.2
0 1 3	35.84	33.1
2 -1 0	36.70	33.7
2 2 1	37.32	37.2
1 -2 1	37.54	39.2
1 2 -2	41.78	38.1

Cell and atoms:
a b c (Å): 6.110 6.256 8.180
angles (deg): 81.90 76.35 77.34
Space group P-1 (No. 2)
Unique sites:
La: 0.074 0.222 0.059
La: 0.218 0.187 0.530
La: 0.396 0.650 0.197
Ge: 0.432 0.879 0.824
Au: 0.260 0.662 0.593

Record 5
Starting from a DFT-relaxed cell (PBE, Alexandria), the X-ray diffraction stick pattern of PmGa2Cu2 was computed for Cu Kα (λ = 1.5418 Å).
Lines closer than 0.1° are merged.

Peak list (12 most intense, 2θ from 15° to 90°, low angle first)
h k l	2θ/deg	I_rel
1 1 0	30.06	18.0
1 0 3	34.16	66.2
1 1 2	35.04	100.0
2 0 0	43.02	58.2
1 1 4	47.29	8.6
1 0 5	50.20	27.2
2 1 3	56.05	31.4
2 2 0	62.47	18.5
1 1 6	63.63	12.5
2 1 5	68.21	21.1
3 1 2	73.69	21.7
3 2 3	88.82	8.6

Cell and atoms:
a b c (Å): 4.205 4.205 10.077
angles (deg): 90.00 90.00 90.00
Space group P4/nmm (No. 129, origin choice 2)
Unique sites:
Pm: 0.250 0.250 0.245
Ga: 0.250 0.250 0.871
Ga: 0.250 0.750 0.500
Cu: 0.250 0.250 0.633
Cu: 0.250 0.750 0.000

Record 6
Starting from a DFT-relaxed cell (PBE, Alexandria), the X-ray diffraction stick pattern of LiAc3Pd5 was computed for Cu Kα (λ = 1.5418 Å).
Lines closer than 0.1° are merged.

Peak list (12 most intense, 2θ from 15° to 90°, low angle first)
h k l	2θ/deg	I_rel
1 1 0	19.44	20.7
1 1 1	24.54	33.1
0 0 2	29.90	30.4
2 1 1	33.52	39.7
3 0 0	34.01	100.0
1 1 2	35.92	74.2
3 1 1	43.98	17.2
3 0 2	45.91	29.5
2 2 2	50.30	22.8
0 0 4	62.11	29.6
4 2 1	64.24	16.3
3 0 4	72.75	22.5

Cell and atoms:
a b c (Å): 9.1315 9.1315 5.9767
angles (deg): 90.00 90.00 120.00
Space group P6_3/mcm (No. 193)
Unique sites:
Li: 0.0000 0.0000 0.0000
Ac: 0.0000 0.3663 0.2500
Pd: 0.0000 0.2868 0.7500
Pd: 0.3333 0.6667 0.0000